Simulated X-ray powder pattern of Li2Mn3CuO8 for Cu Kα (weighted mean of Kα1 and Kα2), from a GGA+U-relaxed structure.
Kinematic intensities with the Lorentz-polarization factor, no thermal factor.

Cell lengths 8.280, 8.293, 8.302 Å; angles 90.00, 90.00, 90.00 degrees
Atoms (fractional coordinates):
1 Li 0.003 0.003 0.003
2 Li 0.127 0.873 0.373
3 Li 0.373 0.127 0.873
4 Li 0.497 0.997 0.503
5 Li 0.503 0.497 0.997
6 Li 0.627 0.627 0.627
7 Li 0.873 0.373 0.127
8 Li 0.997 0.503 0.497
9 Mn 0.126 0.128 0.627
10 Mn 0.127 0.374 0.871
11 Mn 0.128 0.627 0.125
12 Mn 0.372 0.373 0.625
13 Mn 0.373 0.626 0.371
14 Mn 0.374 0.872 0.127
15 Mn 0.626 0.372 0.373
16 Mn 0.627 0.126 0.129
17 Mn 0.628 0.873 0.875
18 Mn 0.872 0.127 0.375
19 Mn 0.873 0.874 0.629
20 Mn 0.874 0.628 0.873
21 Cu 0.243 0.244 0.244
22 Cu 0.257 0.756 0.744
23 Cu 0.743 0.256 0.756
24 Cu 0.757 0.744 0.256
25 O 0.103 0.126 0.391
26 O 0.110 0.897 0.627
27 O 0.114 0.614 0.886
28 O 0.123 0.148 0.856
29 O 0.127 0.390 0.102
30 O 0.136 0.364 0.636
31 O 0.144 0.622 0.351
32 O 0.148 0.856 0.123
33 O 0.352 0.144 0.623
34 O 0.356 0.378 0.851
35 O 0.364 0.636 0.136
36 O 0.373 0.610 0.602
37 O 0.377 0.852 0.356
38 O 0.386 0.386 0.386
39 O 0.390 0.103 0.127
40 O 0.397 0.874 0.891
41 O 0.603 0.374 0.609
42 O 0.610 0.603 0.373
43 O 0.614 0.886 0.114
44 O 0.623 0.352 0.144
45 O 0.627 0.110 0.898
46 O 0.636 0.136 0.364
47 O 0.644 0.878 0.649
48 O 0.648 0.644 0.877
49 O 0.852 0.356 0.377
50 O 0.856 0.122 0.149
51 O 0.864 0.864 0.864
52 O 0.873 0.890 0.398
53 O 0.877 0.648 0.644
54 O 0.886 0.114 0.614
55 O 0.890 0.397 0.873
56 O 0.897 0.626 0.109

Principal peaks in the range 2θ = 15–90°, by intensity:
- hkl 3 1 1, 2θ = 35.9°, I = 100
- hkl 4 4 0, 2θ = 63.5°, I = 49
- hkl 1 1 1, 2θ = 18.5°, I = 41
- hkl 1 1 5, 2θ = 57.7°, I = 28
- hkl 2 1 0, 2θ = 24.0°, I = 27
- hkl 0 2 2, 2θ = 30.5°, I = 23
- hkl 2 0 0, 2θ = 21.4°, I = 23
- hkl 0 4 0, 2θ = 43.6°, I = 22